# MgSn2
Computed powder diffractogram, Cu Kα, 1.54184 Å. Input: the GGA-PBE geometry in the Materials Project.

Cell and atoms:
```
MgSn2
1.0
5.648 -1.852 0.000
5.648 1.852 0.000
-3.102 0.000 7.406
Mg Sn
2 4
Direct
0.189 0.189 0.139 Mg
0.811 0.811 0.861 Mg
0.144 0.144 0.533 Sn
0.471 0.471 0.186 Sn
0.529 0.529 0.814 Sn
0.856 0.856 0.467 Sn
```

Peak list (6 most intense, 10 to 80 degrees two-theta, sorted by position)
d [Å]	Position (°2θ)	I (rel.)
7.406	11.95	30
3.010	29.68	44
2.721	32.91	100
2.670	33.57	77
2.533	35.44	90
2.469	36.39	40

# LiTaNbAg2O6
Computed powder diffractogram, Cu Kα, 1.54184 Å. Input: the GGA-PBE geometry in the Materials Project.

Cell and atoms:
```
LiTaNbAg2O6
1.0
2.950 -2.848 0.000
2.950 2.848 0.000
-0.852 0.000 8.075
Li Ta Nb Ag O
1 1 1 2 6
Direct
0.000 0.000 0.000 Li
0.626 0.626 0.142 Ta
0.726 0.726 0.634 Nb
0.184 0.184 0.400 Ag
0.273 0.273 0.809 Ag
0.155 0.655 0.137 O
0.223 0.737 0.626 O
0.655 0.155 0.137 O
0.687 0.687 0.892 O
0.691 0.691 0.380 O
0.737 0.223 0.626 O
```

Peak list (6 most intense, 10 to 80 degrees two-theta, sorted by position)
d [Å]	Position (°2θ)	I (rel.)
3.758	23.67	35
2.983	29.95	65
2.849	31.39	78
2.773	32.29	100
2.043	44.34	43
2.017	44.93	39

# Co9S8
Computed powder diffractogram, Cu Kα, 1.54184 Å. Input: the GGA-PBE geometry in the Materials Project.

Cell and atoms:
```
Co9S8
1.0
0.000 4.902 4.902
4.902 0.000 4.902
4.902 4.902 0.000
Co S
9 8
Direct
0.000 0.000 0.000 Co
0.120 0.627 0.627 Co
0.373 0.373 0.373 Co
0.373 0.373 0.880 Co
0.373 0.880 0.373 Co
0.627 0.120 0.627 Co
0.627 0.627 0.120 Co
0.627 0.627 0.627 Co
0.880 0.373 0.373 Co
0.239 0.239 0.761 S
0.239 0.761 0.239 S
0.239 0.761 0.761 S
0.250 0.250 0.250 S
0.750 0.750 0.750 S
0.761 0.239 0.239 S
0.761 0.239 0.761 S
0.761 0.761 0.239 S
```

Peak list (6 most intense, 10 to 80 degrees two-theta, sorted by position)
d [Å]	Position (°2θ)	I (rel.)
5.661	15.65	24
2.956	30.23	88
2.830	31.61	19
1.887	48.23	33
1.733	52.82	100
1.276	74.31	16